Diffraction record for UIN. The XRD peak list is simulated, not measured: it uses DFT lattice parameters and positions (PBE) and Cu Kα, 1.54184 Å.
Peak positions follow from Bragg's law for the DFT cell and can differ from measured ones.

Top 12 peaks for 15° ≤ 2θ ≤ 90°, low angle first:
2θ/deg	Rel. int.
29.56	100
32.39	41
36.46	19
37.78	8
46.45	18
50.59	17
56.03	34
58.88	10
60.45	9
61.36	8
77.15	7
89.27	7

Atomic structure:
```
UIN
1.0
3.9096 0.0000 0.0000
0.0000 3.9096 0.0000
0.0000 0.0000 9.5246
U I N
2 2 2
direct
0.2500 0.2500 0.1198 U
0.7500 0.7500 0.8802 U
0.2500 0.2500 0.6723 I
0.7500 0.7500 0.3277 I
0.2500 0.7500 0.0000 N
0.7500 0.2500 0.0000 N
```

---

Diffraction record for Ta3P. The XRD peak list is simulated, not measured: it uses DFT lattice parameters and positions (PBE) and Cu Kα, 1.54184 Å.
Peak positions follow from Bragg's law for the DFT cell and can differ from measured ones.

Top 12 peaks for 15° ≤ 2θ ≤ 90°, low angle first:
2θ/deg	Rel. int.
24.79	18
32.90	39
36.34	100
37.31	43
37.78	59
39.41	33
39.52	20
40.53	79
43.76	28
57.80	22
64.42	44
67.28	19

Atomic structure:
```
Ta3P
1.0
10.2261 0.0000 0.0000
0.0000 10.2261 0.0000
0.0000 0.0000 5.0442
Ta P
24 8
direct
0.0457 0.5528 0.2474 Ta
0.0528 0.9543 0.7474 Ta
0.1044 0.2463 0.0049 Ta
0.1556 0.6590 0.7433 Ta
0.1590 0.8444 0.2433 Ta
0.2463 0.3956 0.4951 Ta
0.2537 0.1044 0.4951 Ta
0.3410 0.6556 0.2433 Ta
0.3444 0.8410 0.7433 Ta
0.3956 0.2537 0.0049 Ta
0.4472 0.5457 0.7474 Ta
0.4543 0.9472 0.2474 Ta
0.5457 0.0528 0.7526 Ta
0.5528 0.4543 0.2526 Ta
0.6044 0.7463 0.9951 Ta
0.6556 0.1590 0.2567 Ta
0.6590 0.3444 0.7567 Ta
0.7463 0.8956 0.5049 Ta
0.7537 0.6044 0.5049 Ta
0.8410 0.1556 0.7567 Ta
0.8444 0.3410 0.2567 Ta
0.8956 0.7537 0.9951 Ta
0.9472 0.0457 0.2526 Ta
0.9543 0.4472 0.7526 Ta
0.0425 0.2421 0.5063 P
0.2421 0.4575 0.9937 P
0.2579 0.0425 0.9937 P
0.4575 0.2579 0.5063 P
0.5425 0.7421 0.4937 P
0.7421 0.9575 0.0063 P
0.7579 0.5425 0.0063 P
0.9575 0.7579 0.4937 P
```

---

Diffraction record for BaBr2. The XRD peak list is simulated, not measured: it uses DFT lattice parameters and positions (PBE) and Cu Kα, 1.54184 Å.
Peak positions follow from Bragg's law for the DFT cell and can differ from measured ones.

Top 12 peaks for 15° ≤ 2θ ≤ 90°, low angle first:
2θ/deg	Rel. int.
20.52	21
27.09	55
27.58	37
28.97	100
31.92	54
33.70	22
35.41	49
36.67	37
37.74	25
38.60	30
51.93	39
58.57	26

Atomic structure:
```
BaBr2
1.0
8.4088 0.0000 0.0000
0.0000 5.0704 0.0000
0.0000 0.0000 10.0938
Ba Br
4 8
direct
0.2461 0.2500 0.1125 Ba
0.2539 0.7500 0.6125 Ba
0.7461 0.2500 0.3875 Ba
0.7539 0.7500 0.8875 Ba
0.0227 0.2500 0.8346 Br
0.1416 0.2500 0.4261 Br
0.3584 0.7500 0.9261 Br
0.4773 0.7500 0.3346 Br
0.5227 0.2500 0.6654 Br
0.6416 0.2500 0.0739 Br
0.8584 0.7500 0.5739 Br
0.9773 0.7500 0.1654 Br
```

---

Diffraction record for TmTlRh2. The XRD peak list is simulated, not measured: it uses DFT lattice parameters and positions (PBE) and Cu Kα, 1.54184 Å.
Peak positions follow from Bragg's law for the DFT cell and can differ from measured ones.

Top 9 peaks for 15° ≤ 2θ ≤ 90°, low angle first:
2θ/deg	Rel. int.
23.14	1
26.78	9
38.24	100
47.30	3
55.19	17
62.38	4
69.13	35
81.85	11
88.03	2

Atomic structure:
```
TmTlRh2
1.0
0.0000 3.3285 3.3285
3.3285 0.0000 3.3285
3.3285 3.3285 0.0000
Tm Tl Rh
1 1 2
direct
0.0000 0.0000 0.0000 Tm
0.5000 0.5000 0.5000 Tl
0.2500 0.2500 0.2500 Rh
0.7500 0.7500 0.7500 Rh
```

---

Diffraction record for Tm2MnC4. The XRD peak list is simulated, not measured: it uses DFT lattice parameters and positions (PBE) and Cu Kα, 1.54184 Å.
Peak positions follow from Bragg's law for the DFT cell and can differ from measured ones.

Top 12 peaks for 15° ≤ 2θ ≤ 90°, low angle first:
2θ/deg	Rel. int.
28.71	100
31.00	46
31.25	89
36.01	27
37.06	30
39.25	24
46.40	17
53.69	23
58.01	22
60.10	32
61.76	25
81.51	17

Atomic structure:
```
Tm2MnC4
1.0
-3.7667 4.6837 2.4938
3.7667 -4.6837 2.4938
3.7667 4.6837 -2.4938
Tm Mn C
4 2 8
direct
0.1457 0.1536 0.2992 Tm
0.3543 0.6536 0.0079 Tm
0.6457 0.3464 0.9921 Tm
0.8543 0.8464 0.7008 Tm
0.2500 0.7500 0.5000 Mn
0.7500 0.2500 0.5000 Mn
0.0794 0.6727 0.7522 C
0.1298 0.8441 0.9738 C
0.3702 0.3441 0.7143 C
0.4206 0.1727 0.5933 C
0.5794 0.8273 0.4067 C
0.6298 0.6559 0.2857 C
0.8702 0.1559 0.0262 C
0.9206 0.3273 0.2478 C
```

---

Diffraction record for KNdP4O12. The XRD peak list is simulated, not measured: it uses DFT lattice parameters and positions (PBE) and Cu Kα, 1.54184 Å.
Peak positions follow from Bragg's law for the DFT cell and can differ from measured ones.

Top 12 peaks for 15° ≤ 2θ ≤ 90°, low angle first:
2θ/deg	Rel. int.
15.03	87
15.79	59
15.96	45
16.45	61
26.23	100
26.54	74
26.83	52
28.16	75
28.74	63
33.23	44
34.82	32
40.66	34

Atomic structure:
```
KNdP4O12
1.0
7.4140 0.0000 0.0000
0.0000 8.5904 0.0000
-0.2475 0.0000 8.1051
K Nd P O
2 2 8 24
direct
0.2314 0.0000 0.2825 K
0.7686 0.5000 0.7175 K
0.2632 0.3140 0.7582 Nd
0.7368 0.8140 0.2418 Nd
0.0679 0.9385 0.9041 P
0.1177 0.5629 0.3950 P
0.3997 0.7361 0.8953 P
0.4977 0.4636 0.3819 P
0.5023 0.9636 0.6181 P
0.6003 0.2361 0.1047 P
0.8823 0.0629 0.6050 P
0.9321 0.4385 0.0959 P
0.0329 0.7162 0.3510 O
0.0402 0.4287 0.2713 O
0.0604 0.4063 0.9602 O
0.1073 0.5028 0.5679 O
0.1821 0.0814 0.9263 O
0.1908 0.7858 0.8784 O
0.3252 0.5728 0.3418 O
0.3382 0.0662 0.6149 O
0.4117 0.5756 0.8247 O
0.4688 0.3670 0.5334 O
0.4703 0.7678 0.0677 O
0.4910 0.3548 0.2210 O
0.5090 0.8548 0.7790 O
0.5297 0.2678 0.9323 O
0.5312 0.8670 0.4666 O
0.5883 0.0756 0.1753 O
0.6618 0.5662 0.3851 O
0.6748 0.0728 0.6582 O
0.8092 0.2858 0.1216 O
0.8179 0.5814 0.0737 O
0.8927 0.0028 0.4321 O
0.9396 0.9063 0.0398 O
0.9598 0.9287 0.7287 O
0.9671 0.2162 0.6490 O
```